Calculated X-ray diffraction stick pattern
Compound: Tb2Be2ZnRh5
Radiation: Cu Kα (weighted mean of Kα1 and Kα2)
Structure: a structure optimized by DFT (GGA-PBE)

Principal peaks in the range 2θ = 10–90°, in order of rising 2θ:
2θ (°), d (Å), I/Imax, index
34.5, 2.596, 92, 2 1 1
38.3, 2.351, 34, 2 2 1
38.6, 2.330, 93, 4 1 0
39.8, 2.264, 25, 3 3 0
40.6, 2.222, 100, 3 1 1
42.1, 2.148, 27, 4 2 0
43.9, 2.063, 31, 3 2 1
56.5, 1.630, 23, 0 0 2
68.9, 1.363, 20, 5 4 1
70.5, 1.335, 31, 4 1 2

Cell and atoms:
Lattice parameters (Å, degrees): 9.6064 9.6064 3.2589 90.00 90.00 90.00
Space group P4/mbm (No. 127)
Unique sites:
1 Tb 0.1768 0.3232 0.0000 x4
2 Be 0.1214 0.6214 0.0000 x4
3 Zn 0.0000 0.0000 0.0000 x2
4 Rh 0.0000 0.5000 0.5000 x2
5 Rh 0.0678 0.7878 0.5000 x8